1.
# Dy3Ho3Pd4
Computed powder XRD pattern, Cu Kα, 1.54184 Å. Input: the GGA-PBE geometry in Alexandria.
Kinematic intensities with the Lorentz-polarization factor, no thermal factor.

Principal peaks in the range 2θ from 10° to 90°, most intense first:
- 34.36°, I = 100
- 36.54°, I = 51
- 32.31°, I = 32
- 60.09°, I = 24
- 45.95°, I = 17
- 53.87°, I = 12
- 27.81°, I = 12
- 32.57°, I = 10
- 77.52°, I = 10
- 65.63°, I = 9

Structural model:
abc: 3.950 7.776 7.776
angles: 90.14 90.00 90.00
Element x y z (fractional)
Dy 0.000 0.000 0.000
Dy 0.000 0.500 0.830
Dy 0.000 0.830 0.500
Ho 0.000 0.330 0.330
Ho 0.500 0.165 0.665
Ho 0.500 0.665 0.165
Pd 0.500 0.033 0.298
Pd 0.500 0.298 0.033
Pd 0.500 0.531 0.531
Pd 0.500 0.798 0.798

=====

2.
# Dy4HoPd2
Computed powder XRD pattern, Cu Kα, 1.54184 Å. Input: the GGA-PBE geometry in Alexandria.
Kinematic intensities with the Lorentz-polarization factor, no thermal factor.

Principal peaks in the range 2θ from 10° to 90°, most intense first:
- 34.55°, I = 100
- 37.14°, I = 73
- 30.77°, I = 69
- 31.23°, I = 66
- 30.41°, I = 63
- 30.93°, I = 58
- 34.90°, I = 58
- 36.54°, I = 54
- 33.15°, I = 53
- 36.06°, I = 48

Structural model:
abc: 7.815 6.351 8.115
angles: 90.00 112.84 90.00
Element x y z (fractional)
Dy 0.021 0.250 0.392
Dy 0.244 0.750 0.347
Dy 0.408 0.005 0.772
Dy 0.408 0.495 0.772
Dy 0.592 0.505 0.228
Dy 0.592 0.995 0.228
Dy 0.756 0.250 0.653
Dy 0.979 0.750 0.608
Ho 0.156 0.250 0.028
Ho 0.844 0.750 0.972
Pd 0.233 0.750 0.991
Pd 0.382 0.250 0.418
Pd 0.618 0.750 0.582
Pd 0.767 0.250 0.009

=====

3.
# Dy2HoPd3
Computed powder XRD pattern, Cu Kα, 1.54184 Å. Input: the GGA-PBE geometry in Alexandria.
Kinematic intensities with the Lorentz-polarization factor, no thermal factor.

Principal peaks in the range 2θ from 10° to 90°, most intense first:
- 36.50°, I = 100
- 35.90°, I = 52
- 64.92°, I = 37
- 51.68°, I = 18
- 66.07°, I = 17
- 77.55°, I = 11
- 87.14°, I = 8
- 87.49°, I = 8
- 53.44°, I = 8
- 76.11°, I = 6

Structural model:
abc: 5.001 15.010 3.429
angles: 90.00 90.00 90.00
Element x y z (fractional)
Dy 0.250 0.083 0.000
Dy 0.250 0.417 0.000
Dy 0.750 0.583 0.000
Dy 0.750 0.917 0.000
Ho 0.250 0.750 0.001
Ho 0.750 0.250 0.999
Pd 0.250 0.250 0.499
Pd 0.250 0.585 0.500
Pd 0.250 0.915 0.500
Pd 0.750 0.085 0.500
Pd 0.750 0.415 0.500
Pd 0.750 0.750 0.501

=====

4.
# Pm3Dy8Ho3
Computed powder XRD pattern, Cu Kα, 1.54184 Å. Input: the GGA-PBE geometry in Alexandria.
Kinematic intensities with the Lorentz-polarization factor, no thermal factor.

Principal peaks in the range 2θ from 10° to 90°, most intense first:
- 31.80°, I = 100
- 33.92°, I = 36
- 29.84°, I = 22
- 30.64°, I = 19
- 44.70°, I = 14
- 57.94°, I = 13
- 56.60°, I = 13
- 62.45°, I = 10
- 60.28°, I = 9
- 29.07°, I = 9

Structural model:
abc: 9.645 9.645 9.645
angles: 146.01 111.95 78.29
Element x y z (fractional)
Pm 0.000 0.000 0.000
Pm 0.182 0.682 0.500
Pm 0.818 0.318 0.500
Dy 0.119 0.279 0.840
Dy 0.239 0.897 0.342
Dy 0.439 0.279 0.160
Dy 0.445 0.103 0.342
Dy 0.555 0.897 0.658
Dy 0.561 0.721 0.840
Dy 0.761 0.103 0.658
Dy 0.881 0.721 0.160
Ho 0.204 0.500 0.704
Ho 0.500 0.500 0.000
Ho 0.796 0.500 0.296

=====

5.
# Pm3DyHo12
Computed powder XRD pattern, Cu Kα, 1.54184 Å. Input: the GGA-PBE geometry in Alexandria.
Kinematic intensities with the Lorentz-polarization factor, no thermal factor.

Principal peaks in the range 2θ from 10° to 90°, most intense first:
- 30.87°, I = 100
- 35.79°, I = 51
- 61.27°, I = 43
- 51.52°, I = 36
- 84.09°, I = 18
- 86.81°, I = 17
- 64.31°, I = 12
- 75.84°, I = 6

Structural model:
abc: 5.017 5.017 20.078
angles: 90.00 90.00 90.00
Element x y z (fractional)
Pm 0.000 0.000 0.000
Pm 0.000 0.000 0.251
Pm 0.000 0.000 0.749
Dy 0.000 0.000 0.500
Ho 0.000 0.500 0.126
Ho 0.000 0.500 0.376
Ho 0.000 0.500 0.624
Ho 0.000 0.500 0.874
Ho 0.500 0.000 0.126
Ho 0.500 0.000 0.376
Ho 0.500 0.000 0.624
Ho 0.500 0.000 0.874
Ho 0.500 0.500 0.000
Ho 0.500 0.500 0.251
Ho 0.500 0.500 0.500
Ho 0.500 0.500 0.749

=====

6.
# Pm4DyHo7
Computed powder XRD pattern, Cu Kα, 1.54184 Å. Input: the GGA-PBE geometry in Alexandria.
Kinematic intensities with the Lorentz-polarization factor, no thermal factor.

Principal peaks in the range 2θ from 10° to 90°, most intense first:
- 31.67°, I = 100
- 32.05°, I = 52
- 31.09°, I = 39
- 30.38°, I = 36
- 32.23°, I = 34
- 56.89°, I = 19
- 32.52°, I = 17
- 46.62°, I = 13
- 43.30°, I = 12
- 45.57°, I = 12

Structural model:
abc: 6.538 6.817 9.068
angles: 85.06 77.12 81.76
Element x y z (fractional)
Pm 0.139 0.310 0.284
Pm 0.337 0.884 0.693
Pm 0.663 0.116 0.307
Pm 0.861 0.690 0.716
Dy 0.500 0.500 0.000
Ho 0.012 0.252 0.950
Ho 0.182 0.801 0.358
Ho 0.312 0.394 0.616
Ho 0.500 0.000 0.000
Ho 0.688 0.606 0.384
Ho 0.818 0.199 0.642
Ho 0.988 0.748 0.050